[1]
Computed X-ray diffraction stick pattern
Compound: SbP4O12
Radiation: Cu Kα (weighted mean of Kα1 and Kα2)
Structure: a cell relaxed with GGA-PBE

Cell and atoms:
a b c (Å): 11.9940 8.5431 10.2894
angles (deg): 90.00 119.72 90.00
Space group C2/c (No. 15)
Inequivalent atoms, fractional coordinates:
Sb1 0.0000 0.0609 0.2500 [4 per cell]
P1 0.0114 0.2680 0.9805 [8 per cell]
P2 0.2001 0.4918 0.1994 [8 per cell]
O1 0.0372 0.2384 0.4099 [8 per cell]
O2 0.0393 0.1278 0.9126 [8 per cell]
O3 0.0850 0.3802 0.6496 [8 per cell]
O4 0.1409 0.3675 0.0601 [8 per cell]
O5 0.1965 0.0776 0.3200 [8 per cell]
O6 0.2300 0.4224 0.3428 [8 per cell]

Top 10 peaks for 10° ≤ 2θ ≤ 90°, by angle:
2θ = 13.40°, rel. 583; 2θ = 17.02°, rel. 579; 2θ = 19.87°, rel. 193; 2θ = 20.19°, rel. 1000; 2θ = 25.64°, rel. 788; 2θ = 27.73°, rel. 573; 2θ = 28.92°, rel. 851; 2θ = 34.44°, rel. 244; 2θ = 36.76°, rel. 334; 2θ = 41.71°, rel. 236

***

[2]
Computed X-ray diffraction stick pattern
Compound: Na3As
Radiation: Cu Kα (weighted mean of Kα1 and Kα2)
Structure: a cell relaxed with GGA-PBE

Cell and atoms:
a b c (Å): 8.8417 8.8417 9.0578
angles (deg): 90.00 90.00 120.00
Space group P6_3cm (No. 185)
Inequivalent atoms, fractional coordinates:
Na1 0.0000 0.0000 0.0000 [2 per cell]
Na2 0.0000 0.3011 0.2887 [6 per cell]
Na3 0.0000 0.3610 0.6281 [6 per cell]
Na4 0.3333 0.6667 0.4362 [4 per cell]
As1 0.0000 0.3311 0.9586 [6 per cell]

Top 10 peaks for 10° ≤ 2θ ≤ 90°, by angle:
2θ = 19.60°, rel. 373; 2θ = 20.09°, rel. 275; 2θ = 22.38°, rel. 657; 2θ = 35.16°, rel. 977; 2θ = 36.02°, rel. 1000; 2θ = 40.57°, rel. 361; 2θ = 51.22°, rel. 328; 2θ = 54.14°, rel. 152; 2θ = 63.65°, rel. 313; 2θ = 72.78°, rel. 171

***

[3]
Computed X-ray diffraction stick pattern
Compound: CaCO4
Radiation: Cu Kα (weighted mean of Kα1 and Kα2)
Structure: a cell relaxed with GGA-PBE

Cell and atoms:
a b c (Å): 11.1861 11.1861 8.0000
angles (deg): 90.00 90.00 120.00
Space group P3_1 (No. 144)
Inequivalent atoms, fractional coordinates:
Ca1 0.2154 0.0996 0.0000 [3 per cell]
Ca2 0.2213 0.7699 0.3308 [3 per cell]
Ca3 0.5576 0.4387 0.2965 [3 per cell]
C1 0.0658 0.1631 0.6882 [3 per cell]
C2 0.1693 0.5723 0.0049 [3 per cell]
C3 0.5015 0.2646 0.9473 [3 per cell]
O1 0.0348 0.2298 0.5811 [3 per cell]
O2 0.0473 0.8226 0.4431 [3 per cell]
O3 0.0500 0.0188 0.3804 [3 per cell]
O4 0.0813 0.9031 0.8356 [3 per cell]
O5 0.1041 0.6180 0.0930 [3 per cell]
O6 0.1058 0.4761 0.8958 [3 per cell]
O7 0.1566 0.5688 0.4852 [3 per cell]
O8 0.3005 0.6206 0.0310 [3 per cell]
O9 0.4372 0.1522 0.8610 [3 per cell]
O10 0.4382 0.2967 0.0577 [3 per cell]
O11 0.4888 0.2392 0.4557 [3 per cell]
O12 0.6327 0.3489 0.9165 [3 per cell]

Top 10 peaks for 10° ≤ 2θ ≤ 90°, by angle:
2θ = 15.85°, rel. 363; 2θ = 19.36°, rel. 1000; 2θ = 27.41°, rel. 266; 2θ = 27.62°, rel. 108; 2θ = 39.31°, rel. 384; 2θ = 44.04°, rel. 181; 2θ = 44.32°, rel. 294; 2θ = 48.72°, rel. 160; 2θ = 48.85°, rel. 90; 2θ = 60.83°, rel. 74

***

[4]
Computed X-ray diffraction stick pattern
Compound: Mg3Ga
Radiation: Cu Kα (weighted mean of Kα1 and Kα2)
Structure: a cell relaxed with GGA-PBE

Cell and atoms:
a b c (Å): 4.3506 4.3506 4.3506
angles (deg): 90.00 90.00 90.00
Space group Pm-3m (No. 221)
Inequivalent atoms, fractional coordinates:
Mg1 0.0000 0.0000 0.5000 [3 per cell]
Ga1 0.5000 0.5000 0.5000 [1 per cell]

Top 10 peaks for 10° ≤ 2θ ≤ 90°, by angle:
2θ = 20.41°, rel. 302; 2θ = 29.03°, rel. 260; 2θ = 35.75°, rel. 1000; 2θ = 41.51°, rel. 489; 2θ = 46.69°, rel. 141; 2θ = 51.45°, rel. 105; 2θ = 60.16°, rel. 313; 2θ = 64.23°, rel. 66; 2θ = 71.99°, rel. 356; 2θ = 75.74°, rel. 102

***

[5]
Computed X-ray diffraction stick pattern
Compound: Ba2PrZrO6
Radiation: Cu Kα (weighted mean of Kα1 and Kα2)
Structure: a cell relaxed with GGA-PBE

Cell and atoms:
a b c (Å): 8.8780 8.8780 8.8780
angles (deg): 90.00 90.00 90.00
Space group Fm-3m (No. 225)
Inequivalent atoms, fractional coordinates:
Ba1 0.2500 0.2500 0.2500 [8 per cell]
Pr1 0.0000 0.0000 0.0000 [4 per cell]
Zr1 0.0000 0.0000 0.5000 [4 per cell]
O1 0.0000 0.0000 0.2627 [24 per cell]

Top 10 peaks for 10° ≤ 2θ ≤ 90°, by angle:
2θ = 28.44°, rel. 1000; 2θ = 33.48°, rel. 16; 2θ = 35.01°, rel. 29; 2θ = 40.65°, rel. 308; 2θ = 50.35°, rel. 411; 2θ = 58.84°, rel. 195; 2θ = 66.62°, rel. 183; 2θ = 73.97°, rel. 64; 2θ = 81.05°, rel. 214; 2θ = 88.00°, rel. 31

***

[6]
Computed X-ray diffraction stick pattern
Compound: Tb4Ni3Ge8
Radiation: Cu Kα (weighted mean of Kα1 and Kα2)
Structure: a cell relaxed with GGA-PBE

Cell and atoms:
a b c (Å): 4.1098 4.1174 16.6496
angles (deg): 90.00 90.00 90.00
Space group Pmm2 (No. 25)
Inequivalent atoms, fractional coordinates:
Tb1 0.0000 0.0000 0.0000 [1 per cell]
Tb2 0.0000 0.5000 0.4969 [1 per cell]
Tb3 0.5000 0.0000 0.2124 [1 per cell]
Tb4 0.5000 0.5000 0.7145 [1 per cell]
Ni1 0.0000 0.0000 0.7871 [1 per cell]
Ni2 0.0000 0.5000 0.2906 [1 per cell]
Ni3 0.5000 0.5000 0.9286 [1 per cell]
Ge1 0.0000 0.0000 0.3631 [1 per cell]
Ge2 0.0000 0.0000 0.6486 [1 per cell]
Ge3 0.0000 0.5000 0.1518 [1 per cell]
Ge4 0.0000 0.5000 0.8585 [1 per cell]
Ge5 0.5000 0.0000 0.5570 [1 per cell]
Ge6 0.5000 0.0000 0.8561 [1 per cell]
Ge7 0.5000 0.5000 0.0658 [1 per cell]
Ge8 0.5000 0.5000 0.3630 [1 per cell]

Top 10 peaks for 10° ≤ 2θ ≤ 90°, by angle:
2θ = 31.22°, rel. 156; 2θ = 34.65°, rel. 328; 2θ = 34.82°, rel. 1000; 2θ = 39.17°, rel. 268; 2θ = 43.98°, rel. 253; 2θ = 44.07°, rel. 243; 2θ = 54.37°, rel. 123; 2θ = 57.23°, rel. 153; 2θ = 60.34°, rel. 148; 2θ = 64.02°, rel. 162

***

[7]
Computed X-ray diffraction stick pattern
Compound: Tb6OsI10
Radiation: Cu Kα (weighted mean of Kα1 and Kα2)
Structure: a cell relaxed with GGA-PBE

Cell and atoms:
a b c (Å): 7.7577 9.7635 9.8053
angles (deg): 107.58 97.02 105.00
Space group P-1 (No. 2)
Inequivalent atoms, fractional coordinates:
Tb1 0.0276 0.2165 0.4155 [2 per cell]
Tb2 0.1139 0.5402 0.2566 [2 per cell]
Tb3 0.3497 0.6266 0.6669 [2 per cell]
Os1 0.0000 0.5000 0.5000 [1 per cell]
I1 0.0866 0.8699 0.3202 [2 per cell]
I2 0.2105 0.2378 0.1501 [2 per cell]
I3 0.2624 0.5886 0.9621 [2 per cell]
I4 0.3568 0.9546 0.7734 [2 per cell]
I5 0.4525 0.3170 0.5909 [2 per cell]

Top 10 peaks for 10° ≤ 2θ ≤ 90°, by angle:
2θ = 10.01°, rel. 569; 2θ = 11.25°, rel. 240; 2θ = 28.20°, rel. 977; 2θ = 28.76°, rel. 1000; 2θ = 28.91°, rel. 951; 2θ = 40.53°, rel. 655; 2θ = 40.92°, rel. 364; 2θ = 41.10°, rel. 359; 2θ = 41.17°, rel. 330; 2θ = 41.30°, rel. 341

***

[8]
Computed X-ray diffraction stick pattern
Compound: MgTe2Mo2W2Se4S2
Radiation: Cu Kα (weighted mean of Kα1 and Kα2)
Structure: a cell relaxed with GGA-PBE

Cell and atoms:
a b c (Å): 3.3400 3.3400 38.0601
angles (deg): 89.99 89.99 60.00
Space group P1 (No. 1)
Inequivalent atoms, fractional coordinates:
Mg1 0.0000 0.0000 0.0000 [1 per cell]
Te1 0.5866 0.6754 0.7252 [1 per cell]
Te2 0.5866 0.6754 0.8255 [1 per cell]
Mo1 0.5867 0.6754 0.2117 [1 per cell]
Mo2 0.9199 0.0087 0.3996 [1 per cell]
W1 0.5867 0.6754 0.5874 [1 per cell]
W2 0.9199 0.0087 0.7753 [1 per cell]
Se1 0.5866 0.6754 0.3558 [1 per cell]
Se2 0.5866 0.6754 0.4434 [1 per cell]
Se3 0.9200 0.0087 0.1679 [1 per cell]
Se4 0.9200 0.0087 0.2555 [1 per cell]
S1 0.9200 0.0087 0.5474 [1 per cell]
S2 0.9200 0.0087 0.6274 [1 per cell]

Top 10 peaks for 10° ≤ 2θ ≤ 90°, by angle:
2θ = 11.63°, rel. 1000; 2θ = 13.96°, rel. 153; 2θ = 30.94°, rel. 403; 2θ = 33.13°, rel. 132; 2θ = 36.35°, rel. 754; 2θ = 39.12°, rel. 122; 2θ = 44.01°, rel. 432; 2θ = 45.80°, rel. 132; 2θ = 54.99°, rel. 253; 2θ = 67.71°, rel. 120